[1]
Ba3YTa2O9: calculated X-ray diffraction stick pattern (Cu Kα), based on a GGA-PBE-relaxed structure.
Lines closer than 0.1° are merged.

Main lines, in order of rising 2θ (2θ from 15° to 90°):
2θ = 17.15°, d 5.171, intensity 3
2θ = 21.03°, d 4.225, intensity 4
2θ = 29.91°, d 2.987, intensity 100
2θ = 42.81°, d 2.112, intensity 29
2θ = 53.10°, d 1.725, intensity 41
2θ = 62.14°, d 1.494, intensity 18
2θ = 70.48°, d 1.336, intensity 18
2θ = 78.45°, d 1.219, intensity 5
2θ = 86.07°, d 1.130, intensity 11
2θ = 86.17°, d 1.129, intensity 11

Cell and atoms:
```
data_Ba3YTa2O9
_cell_length_a 5.9714
_cell_length_b 5.9714
_cell_length_c 7.3259
_cell_angle_alpha 90.00
_cell_angle_beta 90.00
_cell_angle_gamma 120.00
_symmetry_space_group_name_H-M 'P -3 m 1'
_symmetry_Int_Tables_number 164
_symmetry_space_group_name_Hall '-P 3 2"'
loop_
_atom_site_label
_atom_site_type_symbol
_atom_site_fract_x
_atom_site_fract_y
_atom_site_fract_z
Ba1 Ba 0.0000 0.0000 0.0000
Ba2 Ba 0.3333 0.6667 0.6683
Y1 Y 0.0000 0.0000 0.5000
Ta1 Ta 0.3333 0.6667 0.1627
O1 O 0.0000 0.5000 0.0000
O2 O 0.1756 0.3511 0.3179
```

=====

[2]
Ba3ZrTa4O15: calculated X-ray diffraction stick pattern (Cu Kα), based on a GGA-PBE-relaxed structure.
Lines closer than 0.1° are merged.

Main lines, in order of rising 2θ (2θ from 15° to 90°):
2θ = 25.00°, d 3.561, intensity 39
2θ = 26.95°, d 3.308, intensity 59
2θ = 28.67°, d 3.114, intensity 72
2θ = 29.56°, d 3.022, intensity 43
2θ = 31.19°, d 2.868, intensity 100
2θ = 33.52°, d 2.674, intensity 28
2θ = 44.79°, d 2.024, intensity 26
2θ = 50.26°, d 1.815, intensity 25
2θ = 54.04°, d 1.697, intensity 25
2θ = 55.49°, d 1.656, intensity 37

Cell and atoms:
```
data_Ba3ZrTa4O15
_cell_length_a 12.840
_cell_length_b 12.840
_cell_length_c 4.047
_cell_angle_alpha 90.00
_cell_angle_beta 90.00
_cell_angle_gamma 90.00
_symmetry_space_group_name_H-M 'P 4 b m'
_symmetry_Int_Tables_number 100
_symmetry_space_group_name_Hall 'P 4 -2ab'
loop_
_atom_site_label
_atom_site_type_symbol
_atom_site_fract_x
_atom_site_fract_y
_atom_site_fract_z
Ba1 Ba 0.000 0.000 0.000
Ba2 Ba 0.170 0.330 0.998
Zr1 Zr 0.000 0.500 0.493
Ta1 Ta 0.075 0.787 0.508
O1 O 0.000 0.500 0.992
O2 O 0.010 0.335 0.491
O3 O 0.066 0.138 0.492
O4 O 0.082 0.796 0.991
O5 O 0.217 0.717 0.492
```

=====

[3]
Ba3Tb2O6: calculated X-ray diffraction stick pattern (Cu Kα), based on a GGA-PBE-relaxed structure.
Lines closer than 0.1° are merged.

Main lines, in order of rising 2θ (2θ from 15° to 90°):
2θ = 28.45°, d 3.137, intensity 58
2θ = 28.74°, d 3.106, intensity 100
2θ = 40.68°, d 2.218, intensity 31
2θ = 50.56°, d 1.805, intensity 43
2θ = 51.10°, d 1.788, intensity 16
2θ = 58.88°, d 1.569, intensity 12
2θ = 59.52°, d 1.553, intensity 13
2θ = 66.66°, d 1.403, intensity 13
2θ = 66.82°, d 1.400, intensity 10
2θ = 81.26°, d 1.184, intensity 11

Cell and atoms:
```
data_Ba3Tb2O6
_cell_length_a 4.436
_cell_length_b 4.436
_cell_length_c 21.753
_cell_angle_alpha 90.00
_cell_angle_beta 90.00
_cell_angle_gamma 90.00
_symmetry_space_group_name_H-M 'I 4/m m m'
_symmetry_Int_Tables_number 139
_symmetry_space_group_name_Hall '-I 4 2'
loop_
_atom_site_label
_atom_site_type_symbol
_atom_site_fract_x
_atom_site_fract_y
_atom_site_fract_z
Ba1 Ba 0.000 0.000 0.000
Ba2 Ba 0.000 0.000 0.183
Tb1 Tb 0.000 0.000 0.398
O1 O 0.000 0.000 0.300
O2 O 0.000 0.500 0.083
```